For Th2Ga3NiPt12, a crystal structure in Alexandria, relaxed with GGA-PBE gives the simulated XRD peak list in this record (CuKα).

Crystal structure
a = 7.9985 Å, b = 7.9985 Å, c = 7.9985 Å
α = 60.34°, β = 60.34°, γ = 60.34°
Element x y z (fractional)
Th1 0.1314 0.1314 0.1314
Th2 0.8686 0.8686 0.8686
Ga1 0.0000 0.5000 0.5000
Ga2 0.5000 0.0000 0.5000
Ga3 0.5000 0.5000 0.0000
Ni1 0.5000 0.5000 0.5000
Pt1 0.1194 0.1194 0.6332
Pt2 0.1194 0.6332 0.1194
Pt3 0.1281 0.6252 0.6252
Pt4 0.3668 0.8806 0.8806
Pt5 0.3748 0.3748 0.8719
Pt6 0.3748 0.8719 0.3748
Pt7 0.6252 0.1281 0.6252
Pt8 0.6252 0.6252 0.1281
Pt9 0.6332 0.1194 0.1194
Pt10 0.8719 0.3748 0.3748
Pt11 0.8806 0.3668 0.8806
Pt12 0.8806 0.8806 0.3668

Principal peaks in the range 2θ from 10° to 80°, in order of rising 2θ:
2θ (°), d [Å], I/Imax
26.03, 3.423, 18
31.56, 2.835, 100
45.11, 2.010, 58
45.36, 2.000, 56
56.09, 1.640, 20
65.89, 1.418, 18